Record 1
This entry pairs a crystal structure of TlZnTeF with its computed X-ray powder pattern. Radiation: Cu Ka. Structure: DFT lattice parameters and positions (GGA-PBE).
Kinematic intensities with the Lorentz-polarization factor, no thermal factor.

Atomic structure:
Lattice parameters (Å, degrees): 6.5869 7.4060 8.0919 90.00 90.00 90.00
Space group P2_12_12_1 (No. 19)
One atom of each set of equivalent atoms:
Tl (0.0691, 0.0098, 0.2016) [4 per cell]
Zn (0.0410, 0.6759, 0.8617) [4 per cell]
Te (0.1038, 0.3348, 0.8924) [4 per cell]
F (0.1878, 0.2292, 0.4576) [4 per cell]

Principal peaks in the range 2θ = 15–90°, low angle first:
- (0 1 2), 25.1 deg, 3.551 Å, I = 59.4
- (2 0 0), 27.1 deg, 3.293 Å, I = 25.4
- (2 0 1), 29.3 deg, 3.050 Å, I = 20.8
- (1 2 1), 29.8 deg, 2.998 Å, I = 100.0
- (2 1 1), 31.7 deg, 2.821 Å, I = 58.9
- (0 2 2), 32.8 deg, 2.732 Å, I = 24.2
- (1 0 3), 36.0 deg, 2.496 Å, I = 28.9
- (1 3 1), 40.6 deg, 2.223 Å, I = 24.7
- (1 3 3), 52.1 deg, 1.755 Å, I = 22.5
- (3 3 0), 56.1 deg, 1.641 Å, I = 19.5



Record 2
This entry pairs a crystal structure of Tl4Zn3F10 with its computed X-ray powder pattern. Radiation: Cu Ka. Structure: DFT lattice parameters and positions (GGA-PBE).
Kinematic intensities with the Lorentz-polarization factor, no thermal factor.

Atomic structure:
Lattice parameters (Å, degrees): 5.8423 13.6675 13.2062 90.00 90.00 90.00
Space group Cmce (No. 64)
One atom of each set of equivalent atoms:
Tl (0.0000, 0.0341, 0.1403) [8 per cell]
Tl (0.0000, 0.2336, 0.3825) [8 per cell]
Zn (0.0000, 0.0000, 0.5000) [4 per cell]
Zn (0.0000, 0.1372, 0.6496) [8 per cell]
F (0.0000, 0.0272, 0.3505) [8 per cell]
F (0.0000, 0.2209, 0.1561) [8 per cell]
F (0.2291, 0.1113, 0.5318) [16 per cell]
F (0.2500, 0.1207, 0.7500) [8 per cell]

Principal peaks in the range 2θ = 15–90°, low angle first:
- (1 3 1), 25.7 deg, 3.467 Å, I = 21.9
- (0 4 0), 26.1 deg, 3.410 Å, I = 41.9
- (0 0 4), 27.0 deg, 3.302 Å, I = 44.1
- (1 3 2), 28.3 deg, 3.156 Å, I = 100.0
- (2 0 0), 30.6 deg, 2.921 Å, I = 48.0
- (1 3 3), 32.2 deg, 2.783 Å, I = 41.4
- (0 6 1), 40.2 deg, 2.245 Å, I = 21.3
- (2 4 0), 40.6 deg, 2.220 Å, I = 25.1
- (2 0 4), 41.3 deg, 2.188 Å, I = 43.8
- (1 7 2), 51.3 deg, 1.782 Å, I = 35.1



Record 3
This entry pairs a crystal structure of ZrTlF5 with its computed X-ray powder pattern. Radiation: Cu Ka. Structure: DFT lattice parameters and positions (GGA-PBE).
Kinematic intensities with the Lorentz-polarization factor, no thermal factor.

Atomic structure:
Lattice parameters (Å, degrees): 7.1693 7.7099 7.8554 90.00 116.48 90.00
Space group P2_1/c (No. 14)
One atom of each set of equivalent atoms:
Zr (0.0341, 0.1635, 0.3484) [4 per cell]
Tl (0.4417, 0.5499, 0.6847) [4 per cell]
F (0.0699, 0.2015, 0.0908) [4 per cell]
F (0.0723, 0.0595, 0.8174) [4 per cell]
F (0.1784, 0.5372, 0.0543) [4 per cell]
F (0.2583, 0.7456, 0.3252) [4 per cell]
F (0.3469, 0.1840, 0.4322) [4 per cell]

Principal peaks in the range 2θ = 15–90°, low angle first:
- (0 0 2), 25.4 deg, 3.513 Å, I = 62.2
- (1 2 -1), 27.0 deg, 3.300 Å, I = 100.0
- (2 0 0), 27.8 deg, 3.205 Å, I = 51.4
- (2 0 -2), 28.1 deg, 3.178 Å, I = 40.3
- (1 2 -2), 32.7 deg, 2.743 Å, I = 33.0
- (1 1 -3), 36.4 deg, 2.469 Å, I = 26.4
- (2 2 -2), 36.6 deg, 2.452 Å, I = 22.6
- (2 1 1), 37.5 deg, 2.399 Å, I = 19.1
- (0 4 1), 49.0 deg, 1.859 Å, I = 26.1
- (2 4 -1), 54.0 deg, 1.698 Å, I = 20.8



Record 4
This entry pairs a crystal structure of Tm3F8 with its computed X-ray powder pattern. Radiation: Cu Ka. Structure: DFT lattice parameters and positions (GGA-PBE).
Kinematic intensities with the Lorentz-polarization factor, no thermal factor.

Atomic structure:
Lattice parameters (Å, degrees): 6.5585 9.9222 4.0234 90.00 103.91 90.00
Space group C2/m (No. 12)
One atom of each set of equivalent atoms:
Tm (0.0000, 0.0000, 0.0000) [2 per cell]
Tm (0.0000, 0.3187, 0.5000) [4 per cell]
F (0.0000, 0.2308, 0.0000) [4 per cell]
F (0.1349, 0.5000, 0.8074) [4 per cell]
F (0.1961, 0.1318, 0.6096) [8 per cell]

Principal peaks in the range 2θ = 15–90°, low angle first:
- (1 1 -1), 25.4 deg, 3.512 Å, I = 70.3
- (2 0 0), 28.0 deg, 3.183 Å, I = 76.3
- (0 2 1), 29.1 deg, 3.069 Å, I = 82.3
- (1 3 0), 30.5 deg, 2.935 Å, I = 100.0
- (1 1 1), 30.9 deg, 2.890 Å, I = 45.3
- (2 2 -1), 36.6 deg, 2.453 Å, I = 31.8
- (3 1 -1), 44.4 deg, 2.042 Å, I = 30.4
- (0 0 2), 46.5 deg, 1.954 Å, I = 30.7
- (3 3 0), 51.1 deg, 1.786 Å, I = 40.0
- (1 5 -1), 52.1 deg, 1.755 Å, I = 34.1



Record 5
This entry pairs a crystal structure of TmF3 with its computed X-ray powder pattern. Radiation: Cu Ka. Structure: DFT lattice parameters and positions (GGA-PBE).
Kinematic intensities with the Lorentz-polarization factor, no thermal factor.

Atomic structure:
Lattice parameters (Å, degrees): 4.9835 4.9835 14.5997 90.00 90.00 120.00
Space group R-3c (No. 167, hexagonal axes)
One atom of each set of equivalent atoms:
Tm (0.0000, 0.0000, 0.0000) [6 per cell]
F (0.0000, 0.3128, 0.2500) [18 per cell]

Principal peaks in the range 2θ = 15–90°, low angle first:
- (0 1 2), 24.0 deg, 3.715 Å, I = 100.0
- (1 0 4), 32.1 deg, 2.787 Å, I = 53.4
- (1 1 0), 36.0 deg, 2.492 Å, I = 25.4
- (2 0 2), 43.7 deg, 2.069 Å, I = 23.7
- (0 2 4), 49.0 deg, 1.858 Å, I = 14.3
- (1 1 6), 52.6 deg, 1.741 Å, I = 33.8
- (0 1 8), 54.6 deg, 1.681 Å, I = 11.9
- (1 2 2), 57.9 deg, 1.592 Å, I = 19.7
- (2 1 4), 62.3 deg, 1.489 Å, I = 14.8
- (3 0 0), 64.8 deg, 1.439 Å, I = 10.9



Record 6
This entry pairs a crystal structure of UF4 with its computed X-ray powder pattern. Radiation: Cu Ka. Structure: DFT lattice parameters and positions (GGA-PBE).
Kinematic intensities with the Lorentz-polarization factor, no thermal factor.

Atomic structure:
Lattice parameters (Å, degrees): 12.6101 10.6825 8.2661 90.00 126.96 90.00
Space group C2/c (No. 15)
One atom of each set of equivalent atoms:
U (0.0000, 0.2104, 0.2500) [4 per cell]
U (0.2039, 0.4266, 0.8290) [8 per cell]
F (0.0000, 0.3867, 0.7500) [4 per cell]
F (0.1108, 0.2865, 0.5745) [8 per cell]
F (0.1152, 0.0462, 0.4518) [8 per cell]
F (0.1203, 0.3784, 0.2876) [8 per cell]
F (0.1213, 0.1542, 0.1462) [8 per cell]
F (0.2111, 0.4680, 0.1056) [8 per cell]
F (0.2500, 0.2500, 0.0000) [4 per cell]

Principal peaks in the range 2θ = 15–90°, low angle first:
- (0 2 1), 21.4 deg, 4.153 Å, I = 83.3
- (1 1 1), 21.7 deg, 4.096 Å, I = 33.3
- (3 1 -1), 22.9 deg, 3.889 Å, I = 66.5
- (2 2 0), 24.3 deg, 3.668 Å, I = 100.0
- (3 1 -2), 25.3 deg, 3.520 Å, I = 50.2
- (1 3 -1), 27.3 deg, 3.269 Å, I = 53.1
- (2 4 1), 44.2 deg, 2.047 Å, I = 48.4
- (1 3 -3), 44.5 deg, 2.038 Å, I = 30.7
- (6 2 -3), 47.3 deg, 1.923 Å, I = 36.6
- (6 0 -4), 48.8 deg, 1.865 Å, I = 35.1



Repeat the fifth record exactly.
This entry pairs a crystal structure of TmF3 with its computed X-ray powder pattern. Radiation: Cu Ka. Structure: DFT lattice parameters and positions (GGA-PBE).
Kinematic intensities with the Lorentz-polarization factor, no thermal factor.

Atomic structure:
Lattice parameters (Å, degrees): 4.9835 4.9835 14.5997 90.00 90.00 120.00
Space group R-3c (No. 167, hexagonal axes)
One atom of each set of equivalent atoms:
Tm (0.0000, 0.0000, 0.0000) [6 per cell]
F (0.0000, 0.3128, 0.2500) [18 per cell]

Principal peaks in the range 2θ = 15–90°, low angle first:
- (0 1 2), 24.0 deg, 3.715 Å, I = 100.0
- (1 0 4), 32.1 deg, 2.787 Å, I = 53.4
- (1 1 0), 36.0 deg, 2.492 Å, I = 25.4
- (2 0 2), 43.7 deg, 2.069 Å, I = 23.7
- (0 2 4), 49.0 deg, 1.858 Å, I = 14.3
- (1 1 6), 52.6 deg, 1.741 Å, I = 33.8
- (0 1 8), 54.6 deg, 1.681 Å, I = 11.9
- (1 2 2), 57.9 deg, 1.592 Å, I = 19.7
- (2 1 4), 62.3 deg, 1.489 Å, I = 14.8
- (3 0 0), 64.8 deg, 1.439 Å, I = 10.9